[1]
The following is a computed PXRD pattern of Sb2P6Pd21. It was derived from a crystal structure in Alexandria, relaxed with PBE, using λ = 1.5418 Å (Cu Kα).
Kinematic intensities with the Lorentz-polarization factor, no thermal factor.

Atomic structure:
Cell: 12.1611 12.1611 12.1611 Å, 90.00 90.00 90.00°
Space group Fm-3m (No. 225)
Inequivalent atoms, fractional coordinates:
Sb  0.2500  0.2500  0.2500 (multiplicity 8)
P  0.0000  0.0000  0.2378 (multiplicity 24)
Pd  0.0000  0.0000  0.5000 (multiplicity 4)
Pd  0.0000  0.1716  0.3284 (multiplicity 48)
Pd  0.1186  0.1186  0.1186 (multiplicity 32)

Main lines, low angle first (2θ = 10–90°):
2θ/deg  I (rel.)
32.94  20.5
36.19  27.3
38.46  100.0
42.03  29.7
44.05  28.8
65.08  24.8
66.60  14.6
76.79  21.1

***

[2]
The following is a computed PXRD pattern of SbPPd4. It was derived from a crystal structure in Alexandria, relaxed with PBE, using λ = 1.5418 Å (Cu Kα).
Kinematic intensities with the Lorentz-polarization factor, no thermal factor.

Atomic structure:
Cell: 6.5877 3.6648 16.4242 Å, 90.00 90.00 90.00°
Space group Pnma (No. 62)
Inequivalent atoms, fractional coordinates:
Sb  0.2474  0.2500  0.1976 (multiplicity 4)
P  0.2493  0.7500  0.4464 (multiplicity 4)
Pd  0.0207  0.2500  0.0629 (multiplicity 4)
Pd  0.0694  0.2500  0.8041 (multiplicity 4)
Pd  0.1227  0.2500  0.3595 (multiplicity 4)
Pd  0.1296  0.2500  0.5428 (multiplicity 4)

Main lines, low angle first (2θ = 10–90°):
2θ/deg  I (rel.)
35.54  100.0
36.69  54.8
39.29  18.5
40.33  35.2
46.92  30.6
48.07  16.7
49.76  30.2
70.79  17.5

***

[3]
The following is a computed PXRD pattern of PPd3Se. It was derived from a crystal structure in Alexandria, relaxed with PBE, using λ = 1.5418 Å (Cu Kα).
Kinematic intensities with the Lorentz-polarization factor, no thermal factor.

Atomic structure:
Cell: 3.7744 7.0326 7.0346 Å, 70.07 83.51 83.59°
Space group P1 (No. 1)
Inequivalent atoms, fractional coordinates:
P  0.0000  0.0000  0.0000 (multiplicity 1)
P  0.0012  0.5316  0.4675 (multiplicity 1)
Pd  0.0561  0.1812  0.6494 (multiplicity 1)
Pd  0.2401  0.8373  0.3049 (multiplicity 1)
Pd  0.4718  0.2032  0.0205 (multiplicity 1)
Pd  0.4724  0.5534  0.6704 (multiplicity 1)
Pd  0.5582  0.8579  0.8872 (multiplicity 1)
Pd  0.5592  0.4183  0.3259 (multiplicity 1)
Se  0.6183  0.0083  0.4776 (multiplicity 1)
Se  0.8782  0.5013  0.9688 (multiplicity 1)

Main lines, low angle first (2θ = 10–90°):
2θ/deg  I (rel.)
30.33  58.3
32.64  92.1
33.12  97.5
34.23  64.8
38.65  49.9
41.09  97.5
42.77  56.4
43.40  100.0

***

[4]
The following is a computed PXRD pattern of TlP2PdSe8. It was derived from a crystal structure in Alexandria, relaxed with PBE, using λ = 1.5418 Å (Cu Kα).
Kinematic intensities with the Lorentz-polarization factor, no thermal factor.

Atomic structure:
Cell: 5.9015 5.9015 32.6042 Å, 90.00 90.00 120.00°
Space group R-3 (No. 148, hexagonal axes)
Inequivalent atoms, fractional coordinates:
Tl  0.0000  0.0000  0.0000 (multiplicity 3)
P  0.0000  0.0000  0.2395 (multiplicity 6)
Pd  0.0000  0.0000  0.5000 (multiplicity 3)
Se  0.0000  0.0000  0.3059 (multiplicity 6)
Se  0.0225  0.3077  0.1173 (multiplicity 18)

Main lines, low angle first (2θ = 10–90°):
2θ/deg  I (rel.)
20.51  67.7
24.57  46.4
31.41  96.3
32.58  34.1
34.59  100.0
36.86  38.2
45.37  40.5
53.81  39.3

***

[5]
The following is a computed PXRD pattern of SmP2Pd8. It was derived from a crystal structure in Alexandria, relaxed with PBE, using λ = 1.5418 Å (Cu Kα).
Kinematic intensities with the Lorentz-polarization factor, no thermal factor.

Atomic structure:
Cell: 5.5268 5.5268 7.1610 Å, 90.00 90.00 90.00°
Space group P4/mmm (No. 123)
Inequivalent atoms, fractional coordinates:
Sm  0.0000  0.0000  0.0000 (multiplicity 1)
P  0.0000  0.5000  0.5000 (multiplicity 2)
Pd  0.2530  0.2530  0.3011 (multiplicity 8)

Main lines, low angle first (2θ = 10–90°):
2θ/deg  I (rel.)
24.87  27.2
32.40  50.5
34.80  25.3
37.68  24.9
41.27  100.0
46.47  48.9
50.53  25.3
82.59  25.9

***

[6]
The following is a computed PXRD pattern of SmP2Pd3. It was derived from a crystal structure in Alexandria, relaxed with PBE, using λ = 1.5418 Å (Cu Kα).
Kinematic intensities with the Lorentz-polarization factor, no thermal factor.

Atomic structure:
Cell: 16.2536 3.9830 9.8958 Å, 90.00 107.98 90.00°
Space group C2/m (No. 12)
Inequivalent atoms, fractional coordinates:
Sm  0.0000  0.0000  0.0000 (multiplicity 2)
Sm  0.1502  0.0000  0.6996 (multiplicity 4)
P  0.0366  0.5000  0.7908 (multiplicity 4)
P  0.1338  0.5000  0.4511 (multiplicity 4)
P  0.2017  0.0000  0.1333 (multiplicity 4)
Pd  0.0000  0.5000  0.5000 (multiplicity 2)
Pd  0.0449  0.0000  0.3318 (multiplicity 4)
Pd  0.1305  0.5000  0.2077 (multiplicity 4)
Pd  0.1786  0.5000  0.9644 (multiplicity 4)
Pd  0.2282  0.0000  0.3915 (multiplicity 4)

Main lines, low angle first (2θ = 10–90°):
2θ/deg  I (rel.)
31.60  44.2
34.27  15.1
35.46  100.0
35.65  39.7
37.11  24.7
40.35  27.0
43.36  29.5
45.55  39.9

***

[7]
The following is a computed PXRD pattern of Sm3P4Pd7. It was derived from a crystal structure in Alexandria, relaxed with PBE, using λ = 1.5418 Å (Cu Kα).
Kinematic intensities with the Lorentz-polarization factor, no thermal factor.

Atomic structure:
Cell: 15.5772 4.0469 9.4916 Å, 90.00 125.75 90.00°
Space group C2/m (No. 12)
Inequivalent atoms, fractional coordinates:
Sm  0.0000  0.0000  0.0000 (multiplicity 2)
Sm  0.1804  0.5000  0.6778 (multiplicity 4)
P  0.1058  0.0000  0.8201 (multiplicity 4)
P  0.1599  0.5000  0.2574 (multiplicity 4)
Pd  0.0000  0.0000  0.5000 (multiplicity 2)
Pd  0.0094  0.5000  0.2825 (multiplicity 4)
Pd  0.1667  0.0000  0.4189 (multiplicity 4)
Pd  0.1942  0.5000  0.0293 (multiplicity 4)

Main lines, low angle first (2θ = 10–90°):
2θ/deg  I (rel.)
35.77  100.0
36.04  46.9
36.49  70.1
37.94  29.8
39.18  27.2
42.92  34.7
44.79  47.4
68.02  26.0

***

[8]
The following is a computed PXRD pattern of Sm2P3Pd3. It was derived from a crystal structure in Alexandria, relaxed with PBE, using λ = 1.5418 Å (Cu Kα).
Kinematic intensities with the Lorentz-polarization factor, no thermal factor.

Atomic structure:
Cell: 6.8850 6.8850 8.1989 Å, 90.00 90.00 120.00°
Space group P6_3/mcm (No. 193)
Inequivalent atoms, fractional coordinates:
Sm  0.3333  0.6667  0.0000 (multiplicity 4)
P  0.0000  0.3838  0.2500 (multiplicity 6)
Pd  0.0000  0.2683  0.7500 (multiplicity 6)

Main lines, low angle first (2θ = 10–90°):
2θ/deg  I (rel.)
26.38  41.2
28.11  20.7
34.01  100.0
41.56  24.6
44.19  18.3
45.65  29.1
58.12  18.1
65.41  19.7